Record 1
Theoretical X-ray diffraction stick pattern of Cs3TbO3 for Cu Kα (λ = 1.5418 Å), from a crystal structure in Alexandria, relaxed with GGA-PBE.
Neutral-atom scattering factors, no anomalous dispersion.

Peak list (12 most intense, 15 to 90 degrees two-theta, in order of falling intensity)
d 3.326, 2θ 26.81, intensity 100, (1 2 1)
d 3.281, 2θ 27.18, intensity 52, (2 0 2)
d 3.237, 2θ 27.56, intensity 49, (2 1 -2)
d 2.876, 2θ 31.10, intensity 47, (0 1 4)
d 3.431, 2θ 25.97, intensity 43, (1 1 -3)
d 2.219, 2θ 40.65, intensity 27, (1 1 5)
d 2.562, 2θ 35.03, intensity 20, (3 1 -1)
d 1.904, 2θ 47.78, intensity 19, (3 2 3)
d 3.566, 2θ 24.97, intensity 19, (2 0 -2)
d 1.736, 2θ 52.72, intensity 18, (4 1 -4)
d 1.978, 2θ 45.87, intensity 16, (4 1 0)
d 1.721, 2θ 53.24, intensity 15, (1 3 5)

Atomic structure:
Lattice parameters (Å, degrees): 8.217 7.715 12.447 90.00 95.17 90.00
Space group P2_1/c (No. 14)
Asymmetric unit:
Cs: 0.062 0.125 0.157 (multiplicity 4)
Cs: 0.347 0.154 0.922 (multiplicity 4)
Cs: 0.384 0.677 0.810 (multiplicity 4)
Tb: 0.154 0.592 0.071 (multiplicity 4)
O: 0.113 0.053 0.417 (multiplicity 4)
O: 0.242 0.649 0.553 (multiplicity 4)
O: 0.292 0.043 0.699 (multiplicity 4)



Record 2
Theoretical X-ray diffraction stick pattern of NaPr2I6 for Cu Kα (λ = 1.5418 Å), from a crystal structure in Alexandria, relaxed with GGA-PBE.
Neutral-atom scattering factors, no anomalous dispersion.

Peak list (12 most intense, 15 to 90 degrees two-theta, in order of falling intensity)
d 3.482, 2θ 25.58, intensity 100, (2 -1 3)
d 2.779, 2θ 32.21, intensity 54, (2 -1 6)
d 2.233, 2θ 40.39, intensity 35, (3 0 0)
d 2.194, 2θ 41.14, intensity 30, (1 1 9)
d 1.489, 2θ 62.36, intensity 17, (3 0 12)
d 1.880, 2θ 48.42, intensity 17, (2 2 3)
d 1.438, 2θ 64.83, intensity 14, (5 -1 3)
d 1.741, 2θ 52.57, intensity 13, (2 2 6)
d 1.373, 2θ 68.31, intensity 12, (5 -1 6)
d 1.282, 2θ 73.95, intensity 10, (4 1 9)
d 1.565, 2θ 59.02, intensity 10, (4 -2 9)
d 3.996, 2θ 22.25, intensity 10, (0 0 6)

Atomic structure:
Lattice parameters (Å, degrees): 7.7367 7.7367 23.9743 90.00 90.00 120.00
Space group R-3 (No. 148, hexagonal axes)
Asymmetric unit:
Na: 0.0000 0.0000 0.0000 (multiplicity 3)
Pr: 0.0000 0.0000 0.1706 (multiplicity 6)
I: 0.0022 0.6763 0.0874 (multiplicity 18)



Record 3
Theoretical X-ray diffraction stick pattern of Ca4Ag2Pd for Cu Kα (λ = 1.5418 Å), from a crystal structure in Alexandria, relaxed with GGA-PBE.
Neutral-atom scattering factors, no anomalous dispersion.

Peak list (12 most intense, 15 to 90 degrees two-theta, in order of falling intensity)
d 2.581, 2θ 34.75, intensity 100, (1 1 0)
d 1.491, 2θ 62.26, intensity 25, (3 0 0)
d 1.825, 2θ 49.97, intensity 17, (2 0 8)
d 3.650, 2θ 24.38, intensity 13, (1 0 4)
d 4.215, 2θ 21.08, intensity 13, (0 0 6)
d 4.407, 2θ 20.15, intensity 10, (1 0 1)
d 1.488, 2θ 62.43, intensity 8, (1 0 16)
d 1.155, 2θ 83.73, intensity 7, (3 1 8)
d 1.154, 2θ 83.87, intensity 7, (2 1 16)
d 2.202, 2θ 40.98, intensity 5, (1 1 6)
d 1.292, 2θ 73.26, intensity 5, (2 2 0)
d 1.289, 2θ 73.45, intensity 5, (0 2 16)

Atomic structure:
Lattice parameters (Å, degrees): 5.1683 5.1683 25.2360 90.00 90.00 120.00
Space group R-3m (No. 166, hexagonal axes)
Asymmetric unit:
Ca: 0.0000 0.0000 0.1226 (multiplicity 6)
Ca: 0.0000 0.0000 0.3727 (multiplicity 6)
Ag: 0.0000 0.0000 0.2502 (multiplicity 6)
Pd: 0.0000 0.0000 0.0000 (multiplicity 3)



Record 4
Theoretical X-ray diffraction stick pattern of Pr3Nd3Er for Cu Kα (λ = 1.5418 Å), from a crystal structure in Alexandria, relaxed with GGA-PBE.
Neutral-atom scattering factors, no anomalous dispersion.

Peak list (12 most intense, 15 to 90 degrees two-theta, in order of falling intensity)
d 2.853, 2θ 31.35, intensity 100, (2 -1 6)
d 2.869, 2θ 31.18, intensity 95, (2 1 1)
d 2.801, 2θ 31.95, intensity 50, (1 2 2)
d 3.160, 2θ 28.24, intensity 38, (0 2 4)
d 2.955, 2θ 30.25, intensity 33, (1 0 7)
d 3.803, 2θ 23.39, intensity 32, (2 -1 3)
d 1.770, 2θ 51.65, intensity 25, (1 3 7)
d 2.431, 2θ 36.98, intensity 21, (1 2 5)
d 1.721, 2θ 53.23, intensity 17, (1 1 12)
d 1.444, 2θ 64.53, intensity 17, (3 3 3)
d 1.643, 2θ 55.98, intensity 17, (4 0 7)
d 1.670, 2θ 54.98, intensity 16, (1 4 0)

Atomic structure:
Lattice parameters (Å, degrees): 8.8369 8.8369 22.4202 90.00 90.00 120.00
Space group R-3 (No. 148, hexagonal axes)
Asymmetric unit:
Pr: 0.0045 0.2427 0.0581 (multiplicity 18)
Nd: 0.0489 0.4474 0.8811 (multiplicity 18)
Er: 0.0000 0.0000 0.3446 (multiplicity 6)